Diffraction record for TaBOs. The X-ray powder pattern is computed, not measured: it uses a cell relaxed with GGA-PBE and a wavelength of 1.5418 Å.
No peak broadening, texture or thermal motion is included.

Main lines, by angle (2θ = 5–70°):
2θ (°), d_spacing, Rel. int.
31.16, 2.871, 37
32.29, 2.772, 20
35.68, 2.516, 37
39.78, 2.266, 22
39.96, 2.256, 100
40.66, 2.219, 40
43.23, 2.093, 49
43.48, 2.081, 52
43.69, 2.072, 20
57.36, 1.606, 23

Structural model:
```
data_TaBOs
_chemical_formula_sum 'Ta6 B6 Os6'
_cell_length_a 10.9497
_cell_length_b 3.2127
_cell_length_c 6.3930
_cell_angle_alpha 90.00
_cell_angle_beta 90.00
_cell_angle_gamma 90.00
_symmetry_space_group_name_H-M 'P 1'
_symmetry_Int_Tables_number 1
_symmetry_space_group_name_Hall 'P 1'
loop_
_atom_site_label
_atom_site_type_symbol
_atom_site_fract_x
_atom_site_fract_y
_atom_site_fract_z
Ta1 Ta 0.0433 0.0000 0.2187
Ta2 Ta 0.2500 0.0000 0.8542
Ta3 Ta 0.4567 0.0000 0.2187
Ta4 Ta 0.5433 0.0000 0.7813
Ta5 Ta 0.7500 0.0000 0.1458
Ta6 Ta 0.9567 0.0000 0.7813
B1 B 0.0847 0.5000 0.9498
B2 B 0.2500 0.0000 0.4476
B3 B 0.4153 0.5000 0.9498
B4 B 0.5847 0.5000 0.0502
B5 B 0.7500 0.0000 0.5524
B6 B 0.9153 0.5000 0.0502
Os1 Os 0.1241 0.5000 0.5733
Os2 Os 0.2500 0.5000 0.2006
Os3 Os 0.3759 0.5000 0.5733
Os4 Os 0.6241 0.5000 0.4267
Os5 Os 0.7500 0.5000 0.7994
Os6 Os 0.8759 0.5000 0.4267
```